Diffraction record for Hf2C. The X-ray diffraction stick pattern is simulated, not measured: it uses a crystal structure in OQMD, relaxed with PBE and Cu Ka.

The 6 most intense peaks (10° ≤ 2θ ≤ 80°), sorted by position:
2theta, intensity
33.49, 100
34.17, 31
39.06, 74
55.98, 26
56.89, 24
67.24, 27

Structure:
```
data_Hf2C
_chemical_formula_sum 'Hf6 C3'
_cell_length_a 3.2852
_cell_length_b 3.2852
_cell_length_c 15.7452
_cell_angle_alpha 90.00
_cell_angle_beta 90.00
_cell_angle_gamma 120.00
_symmetry_space_group_name_H-M 'R -3 m'
_symmetry_Int_Tables_number 166
_symmetry_space_group_name_Hall '-R 3 2"'
loop_
_atom_site_label
_atom_site_type_symbol
_atom_site_fract_x
_atom_site_fract_y
_atom_site_fract_z
Hf1 Hf 0.0000 0.0000 0.2458
C1 C 0.0000 0.0000 0.5000
```

=====

Diffraction record for TmHfHgC. The X-ray diffraction stick pattern is simulated, not measured: it uses a crystal structure in OQMD, relaxed with PBE and Cu Ka.

The 6 most intense peaks (10° ≤ 2θ ≤ 80°), sorted by position:
2theta, intensity
30.31, 23
35.24, 100
35.55, 21
53.84, 21
63.64, 18
66.19, 21

Structure:
```
data_TmHfHgC
_chemical_formula_sum 'Tm2 Hf2 Hg2 C2'
_cell_length_a 3.4055
_cell_length_b 3.4055
_cell_length_c 15.1514
_cell_angle_alpha 90.00
_cell_angle_beta 90.00
_cell_angle_gamma 120.00
_symmetry_space_group_name_H-M 'P 63 m c'
_symmetry_Int_Tables_number 186
_symmetry_space_group_name_Hall 'P 6c -2c'
loop_
_atom_site_label
_atom_site_type_symbol
_atom_site_fract_x
_atom_site_fract_y
_atom_site_fract_z
Tm1 Tm 0.3333 0.6667 0.0000
Hf1 Hf 0.3333 0.6667 0.6720
Hg1 Hg 0.3333 0.6667 0.3320
C1 C 0.0000 0.0000 0.0990
```

=====

Diffraction record for HoHfInC. The X-ray diffraction stick pattern is simulated, not measured: it uses a crystal structure in OQMD, relaxed with PBE and Cu Ka.

The 6 most intense peaks (10° ≤ 2θ ≤ 80°), sorted by position:
2theta, intensity
30.10, 22
34.50, 22
34.79, 100
53.45, 20
62.00, 19
65.18, 21

Structure:
```
data_HoHfInC
_chemical_formula_sum 'Ho2 Hf2 In2 C2'
_cell_length_a 3.4287
_cell_length_b 3.4287
_cell_length_c 15.5995
_cell_angle_alpha 90.00
_cell_angle_beta 90.00
_cell_angle_gamma 120.00
_symmetry_space_group_name_H-M 'P 63 m c'
_symmetry_Int_Tables_number 186
_symmetry_space_group_name_Hall 'P 6c -2c'
loop_
_atom_site_label
_atom_site_type_symbol
_atom_site_fract_x
_atom_site_fract_y
_atom_site_fract_z
Ho1 Ho 0.3333 0.6667 0.0000
Hf1 Hf 0.3333 0.6667 0.6663
In1 In 0.3333 0.6667 0.3289
C1 C 0.0000 0.0000 0.0962
```